The following is a calculated X-ray diffraction stick pattern of CoNiO3. It was derived from a crystal structure in the Materials Project, relaxed with GGA+U, using CuKα.
Intensities are scaled so that the largest is 1000.

Crystal structure
```
10
Lattice="4.8831 0.0000 0.0000 2.3477 4.3462 0.0000 0.0355 2.7509 4.5248" Properties=species:S:1:pos:R:3 pbc="T T T"
Co 0.0000 0.0000 0.0000
Co 2.4674 4.2542 4.2360
Ni 4.8042 5.7389 2.4090
Ni 4.8679 2.8625 1.8231
O 0.9504 1.3705 0.8976
O 1.4797 2.9208 3.2966
O 3.0950 2.7543 0.9350
O 3.9924 4.1586 3.2472
O 5.6102 4.5035 0.8623
O 6.6228 5.7715 3.3348
```

Principal peaks in the range 2θ = 10–90°, sorted by position:
23.96 deg, rel. 467, (0 1 0); 24.87 deg, rel. 993, (1 1 1); 33.08 deg, rel. 1000, (1 0 1); 33.94 deg, rel. 952, (1 1 -1); 34.05 deg, rel. 891, (0 1 2); 35.72 deg, rel. 965, (-1 1 1); 36.40 deg, rel. 861, (1 2 1); 36.83 deg, rel. 837, (2 1 0)